No. 1
Structure and calculated powder diffractogram of GdTmAl4Fe2 (a PBE-relaxed structure; Cu Kα, 1.54184 Å).
Lines closer than 0.1° are merged.

Crystal structure
```
data_GdTmAl4Fe2
_chemical_formula_sum 'Gd2 Tm2 Al8 Fe4'
_space_group_name_H-M_alt 'A m m 2'
_space_group_IT_number 38
_cell_length_a 7.039
_cell_length_b 4.031
_cell_length_c 10.033
_cell_angle_alpha 90.00
_cell_angle_beta 90.00
_cell_angle_gamma 90.00
loop_
_space_group_symop_operation_xyz
'x,y,z'
'-x,-y,z'
'-x,y,z'
'x,-y,z'
'x,y+1/2,z+1/2'
'-x,-y+1/2,z+1/2'
'-x,y+1/2,z+1/2'
'x,-y+1/2,z+1/2'
loop_
_atom_site_label
_atom_site_fract_x
_atom_site_fract_y
_atom_site_fract_z
Gd1 0.000 0.000 0.000
Tm1 0.500 0.000 0.124
Al1 0.196 0.000 0.718
Al2 0.309 0.000 0.406
Fe1 0.000 0.000 0.275
Fe2 0.500 0.000 0.848
```

Main lines, by intensity (5° ≤ 2θ ≤ 70°):
| h k l | 2theta | Rel. int. |
| --- | --- | --- |
| 2 1 1 | 35.01 | 100 |
| 1 1 3 | 37.19 | 96 |
| 0 1 1 | 23.79 | 68 |
| 1 0 4 | 38.09 | 57 |
| 2 0 0 | 25.30 | 54 |
| 3 1 3 | 52.79 | 30 |
| 1 2 4 | 60.36 | 29 |
| 0 2 0 | 44.97 | 27 |

=====

No. 2
Structure and calculated powder diffractogram of AlFeGeS4 (a PBE-relaxed structure; Cu Kα, 1.54184 Å).
Lines closer than 0.1° are merged.

Crystal structure
```
data_AlFeGeS4
_chemical_formula_sum 'Al4 Fe4 Ge4 S16'
_space_group_name_H-M_alt 'P 41 2 2'
_space_group_IT_number 91
_cell_length_a 7.080
_cell_length_b 7.080
_cell_length_c 9.851
_cell_angle_alpha 90.00
_cell_angle_beta 90.00
_cell_angle_gamma 90.00
loop_
_space_group_symop_operation_xyz
'x,y,z'
'-y,x,z+1/4'
'-x,-y,z+1/2'
'y,-x,z+3/4'
'x,-y,-z+1/2'
'-y,-x,-z+1/4'
'-x,y,-z'
'y,x,-z+3/4'
loop_
_atom_site_label
_atom_site_fract_x
_atom_site_fract_y
_atom_site_fract_z
Al1 0.239 0.239 0.375
Fe1 0.000 0.247 0.000
Ge1 0.246 0.500 0.750
S1 0.019 0.229 0.769
S2 0.228 0.480 0.007
```

Main lines, by intensity (5° ≤ 2θ ≤ 70°):
| h k l | 2theta | Rel. int. |
| --- | --- | --- |
| 1 0 1 | 15.41 | 100 |
| 2 2 0 | 35.88 | 93 |
| 2 2 4 | 52.10 | 85 |
| 2 1 1 | 29.64 | 77 |
| 0 0 4 | 36.48 | 44 |
| 1 0 3 | 30.00 | 44 |
| 4 0 0 | 51.64 | 43 |
| 3 2 1 | 47.20 | 38 |

=====

No. 3
Structure and calculated powder diffractogram of AlFeGeS4 (a PBE-relaxed structure; Cu Kα, 1.54184 Å).
Lines closer than 0.1° are merged.

Crystal structure
```
data_AlFeGeS4
_chemical_formula_sum 'Al4 Fe4 Ge4 S16'
_space_group_name_H-M_alt 'P 41 2 2'
_space_group_IT_number 91
_cell_length_a 7.134
_cell_length_b 7.134
_cell_length_c 9.925
_cell_angle_alpha 90.00
_cell_angle_beta 90.00
_cell_angle_gamma 90.00
loop_
_space_group_symop_operation_xyz
'x,y,z'
'-y,x,z+1/4'
'-x,-y,z+1/2'
'y,-x,z+3/4'
'x,-y,-z+1/2'
'-y,-x,-z+1/4'
'-x,y,-z'
'y,x,-z+3/4'
loop_
_atom_site_label
_atom_site_fract_x
_atom_site_fract_y
_atom_site_fract_z
Al1 0.000 0.256 0.000
Fe1 0.255 0.500 0.750
Ge1 0.255 0.255 0.375
S1 0.039 0.261 0.757
S2 0.264 0.468 0.980
```

Main lines, by intensity (5° ≤ 2θ ≤ 70°):
| h k l | 2theta | Rel. int. |
| --- | --- | --- |
| 2 1 1 | 29.40 | 100 |
| 2 2 4 | 51.67 | 91 |
| 3 2 1 | 46.81 | 68 |
| 1 1 2 | 25.17 | 63 |
| 1 0 3 | 29.77 | 56 |
| 4 0 0 | 51.22 | 45 |
| 2 0 0 | 24.96 | 33 |
| 2 2 0 | 35.59 | 32 |

=====

No. 4
Structure and calculated powder diffractogram of AlFeGeSe4 (a PBE-relaxed structure; Cu Kα, 1.54184 Å).
Lines closer than 0.1° are merged.

Crystal structure
```
data_AlFeGeSe4
_chemical_formula_sum 'Al4 Fe4 Ge4 Se16'
_space_group_name_H-M_alt 'P 41 2 2'
_space_group_IT_number 91
_cell_length_a 7.527
_cell_length_b 7.527
_cell_length_c 10.418
_cell_angle_alpha 90.00
_cell_angle_beta 90.00
_cell_angle_gamma 90.00
loop_
_space_group_symop_operation_xyz
'x,y,z'
'-y,x,z+1/4'
'-x,-y,z+1/2'
'y,-x,z+3/4'
'x,-y,-z+1/2'
'-y,-x,-z+1/4'
'-x,y,-z'
'y,x,-z+3/4'
loop_
_atom_site_label
_atom_site_fract_x
_atom_site_fract_y
_atom_site_fract_z
Al1 0.239 0.239 0.375
Fe1 0.000 0.246 0.000
Ge1 0.249 0.500 0.750
Se1 0.022 0.229 0.770
Se2 0.227 0.477 0.009
```

Main lines, by intensity (5° ≤ 2θ ≤ 70°):
| h k l | 2theta | Rel. int. |
| --- | --- | --- |
| 2 2 0 | 33.68 | 100 |
| 2 2 4 | 48.93 | 79 |
| 1 0 1 | 14.52 | 54 |
| 2 0 2 | 29.28 | 50 |
| 0 0 4 | 34.44 | 47 |
| 4 0 0 | 48.37 | 40 |
| 4 0 4 | 60.72 | 28 |
| 3 2 1 | 44.25 | 26 |

=====

No. 5
Structure and calculated powder diffractogram of AlFeGeSe4 (a PBE-relaxed structure; Cu Kα, 1.54184 Å).
Lines closer than 0.1° are merged.

Crystal structure
```
data_AlFeGeSe4
_chemical_formula_sum 'Al4 Fe4 Ge4 Se16'
_space_group_name_H-M_alt 'P 41 2 2'
_space_group_IT_number 91
_cell_length_a 7.560
_cell_length_b 7.560
_cell_length_c 10.538
_cell_angle_alpha 90.00
_cell_angle_beta 90.00
_cell_angle_gamma 90.00
loop_
_space_group_symop_operation_xyz
'x,y,z'
'-y,x,z+1/4'
'-x,-y,z+1/2'
'y,-x,z+3/4'
'x,-y,-z+1/2'
'-y,-x,-z+1/4'
'-x,y,-z'
'y,x,-z+3/4'
loop_
_atom_site_label
_atom_site_fract_x
_atom_site_fract_y
_atom_site_fract_z
Al1 0.000 0.255 0.000
Fe1 0.256 0.500 0.750
Ge1 0.256 0.256 0.375
Se1 0.038 0.263 0.756
Se2 0.264 0.468 0.979
```

Main lines, by intensity (5° ≤ 2θ ≤ 70°):
| h k l | 2theta | Rel. int. |
| --- | --- | --- |
| 2 0 2 | 29.08 | 100 |
| 2 2 4 | 48.52 | 97 |
| 2 2 0 | 33.53 | 68 |
| 3 2 1 | 44.04 | 60 |
| 4 0 0 | 48.15 | 47 |
| 0 0 4 | 34.03 | 35 |
| 2 1 1 | 27.71 | 29 |
| 1 1 2 | 23.71 | 29 |

=====

No. 6
Structure and calculated powder diffractogram of AlFeH6Pb (a PBE-relaxed structure; Cu Kα, 1.54184 Å).
Lines closer than 0.1° are merged.

Crystal structure
```
data_AlFeH6Pb
_chemical_formula_sum 'Al4 Fe4 H24 Pb4'
_space_group_name_H-M_alt 'F -4 3 m'
_space_group_IT_number 216
_space_group_name_Hall 'F -4 2 3'
_cell_length_a 6.841
_cell_length_b 6.841
_cell_length_c 6.841
_cell_angle_alpha 90.00
_cell_angle_beta 90.00
_cell_angle_gamma 90.00
loop_
_atom_site_label
_atom_site_fract_x
_atom_site_fract_y
_atom_site_fract_z
Al1 0.000 0.000 0.000
Fe1 0.250 0.250 0.250
H1 0.013 0.250 0.250
Pb1 0.000 0.000 0.500
```

Main lines, by intensity (5° ≤ 2θ ≤ 70°):
| h k l | 2theta | Rel. int. |
| --- | --- | --- |
| 2 2 0 | 37.17 | 100 |
| 1 1 1 | 22.51 | 98 |
| 3 1 1 | 43.90 | 54 |
| 2 0 0 | 26.05 | 42 |
| 4 2 2 | 67.02 | 36 |
| 3 3 1 | 58.84 | 23 |
| 4 2 0 | 60.53 | 18 |
| 4 0 0 | 53.59 | 18 |